(1)
For Ac7IrAu4, DFT lattice parameters and positions (PBE) gives the simulated powder diffractogram in this record (a wavelength of 1.5418 Å).
Intensities are scaled so that the largest is 1000.

Atomic structure:
Unit cell a=7.6096 b=7.6096 c=14.1944 alpha=107.97 beta=107.97 gamma=33.11
Sites, in units of the cell vectors:
1 Ac 0.0000 0.0000 0.0000
2 Ac 0.0724 0.0724 0.5764
3 Ac 0.2772 0.2772 0.4131
4 Ac 0.3770 0.3770 0.7157
5 Ac 0.5185 0.5185 0.2584
6 Ac 0.7102 0.7102 0.8538
7 Ac 0.7497 0.7497 0.1503
8 Ir 0.1349 0.1349 0.2070
9 Au 0.0441 0.0441 0.7909
10 Au 0.3430 0.3430 0.0206
11 Au 0.7324 0.7324 0.5730
12 Au 0.9156 0.9156 0.3631

Most intense lines, 10° ≤ 2θ ≤ 90°, sorted by position:
two_theta, I (rel.)
26.99, 858
27.56, 587
28.27, 574
28.46, 1000
30.83, 819
41.66, 609

(2)
For K4Pd3F12, DFT lattice parameters and positions (PBE) gives the simulated powder diffractogram in this record (a wavelength of 1.5418 Å).
Intensities are scaled so that the largest is 1000.

Atomic structure:
Unit cell a=8.0383 b=8.0383 c=8.0383 alpha=109.47 beta=109.47 gamma=109.47
Sites, in units of the cell vectors:
1 K 0.0000 0.0000 0.5000
2 K 0.0000 0.5000 0.0000
3 K 0.5000 0.0000 0.0000
4 K 0.5000 0.5000 0.5000
5 Pd 0.0000 0.5000 0.5000
6 Pd 0.5000 0.0000 0.5000
7 Pd 0.5000 0.5000 0.0000
8 F 0.1495 0.3516 0.5011
9 F 0.1495 0.6484 0.7980
10 F 0.2020 0.8505 0.3516
11 F 0.3516 0.2020 0.8505
12 F 0.3516 0.5011 0.1495
13 F 0.4989 0.8505 0.6484
14 F 0.5011 0.1495 0.3516
15 F 0.6484 0.4989 0.8505
16 F 0.6484 0.7980 0.1495
17 F 0.7980 0.1495 0.6484
18 F 0.8505 0.3516 0.2020
19 F 0.8505 0.6484 0.4989

Most intense lines, 10° ≤ 2θ ≤ 90°, sorted by position:
two_theta, I (rel.)
13.49, 499
19.12, 211
23.48, 268
27.17, 1000
48.02, 550
63.38, 207

(3)
For TmB4Os4, DFT lattice parameters and positions (PBE) gives the simulated powder diffractogram in this record (a wavelength of 1.5418 Å).
Intensities are scaled so that the largest is 1000.

Atomic structure:
Unit cell a=7.5249 b=7.5249 c=4.0244 alpha=90.00 beta=90.00 gamma=90.00
Sites, in units of the cell vectors:
1 Tm 0.2500 0.2500 0.2500
2 Tm 0.7500 0.7500 0.7500
3 B 0.0313 0.5866 0.1356
4 B 0.0866 0.9687 0.6356
5 B 0.4134 0.5313 0.6356
6 B 0.4687 0.9134 0.1356
7 B 0.5313 0.0866 0.8644
8 B 0.5866 0.4687 0.3644
9 B 0.9134 0.0313 0.3644
10 B 0.9687 0.4134 0.8644
11 Os 0.1038 0.8588 0.1329
12 Os 0.1412 0.6038 0.6329
13 Os 0.3588 0.8962 0.6329
14 Os 0.3962 0.6412 0.1329
15 Os 0.6038 0.3588 0.8671
16 Os 0.6412 0.1038 0.3671
17 Os 0.8588 0.3962 0.3671
18 Os 0.8962 0.1412 0.8671

Most intense lines, 10° ≤ 2θ ≤ 90°, sorted by position:
two_theta, I (rel.)
16.66, 253
34.75, 1000
37.81, 633
40.65, 345
46.73, 293
49.18, 232

(4)
For Pm3SmRh3, DFT lattice parameters and positions (PBE) gives the simulated powder diffractogram in this record (a wavelength of 1.5418 Å).
Intensities are scaled so that the largest is 1000.

Atomic structure:
Unit cell a=12.0296 b=4.1792 c=13.8493 alpha=90.00 beta=90.00 gamma=90.00
Sites, in units of the cell vectors:
1 Pm 0.0454 0.2500 0.0984
2 Pm 0.1870 0.7500 0.5213
3 Pm 0.2471 0.2500 0.3044
4 Pm 0.2529 0.7500 0.8044
5 Pm 0.3130 0.2500 0.0213
6 Pm 0.4546 0.7500 0.5984
7 Pm 0.5454 0.2500 0.4016
8 Pm 0.6870 0.7500 0.9787
9 Pm 0.7471 0.2500 0.1956
10 Pm 0.7529 0.7500 0.6956
11 Pm 0.8130 0.2500 0.4787
12 Pm 0.9546 0.7500 0.9016
13 Sm 0.0218 0.2500 0.6860
14 Sm 0.4782 0.7500 0.1860
15 Sm 0.5218 0.2500 0.8140
16 Sm 0.9782 0.7500 0.3140
17 Rh 0.0530 0.2500 0.4371
18 Rh 0.1144 0.2500 0.8872
19 Rh 0.2190 0.7500 0.1602
20 Rh 0.2810 0.2500 0.6602
21 Rh 0.3856 0.7500 0.3872
22 Rh 0.4470 0.7500 0.9371
23 Rh 0.5530 0.2500 0.0629
24 Rh 0.6144 0.2500 0.6128
25 Rh 0.7190 0.7500 0.3398
26 Rh 0.7810 0.2500 0.8398
27 Rh 0.8856 0.7500 0.1128
28 Rh 0.9470 0.7500 0.5629

Most intense lines, 10° ≤ 2θ ≤ 90°, sorted by position:
two_theta, I (rel.)
29.76, 1000
32.50, 587
33.57, 473
36.66, 418
36.83, 830
43.30, 530

(5)
For BaTl4Ag4, DFT lattice parameters and positions (PBE) gives the simulated powder diffractogram in this record (a wavelength of 1.5418 Å).
Intensities are scaled so that the largest is 1000.

Atomic structure:
Unit cell a=7.3227 b=7.3227 c=7.3227 alpha=97.59 beta=97.59 gamma=137.37
Sites, in units of the cell vectors:
1 Ba 0.0000 0.0000 0.0000
2 Tl 0.1004 0.6416 0.7420
3 Tl 0.3584 0.1004 0.4588
4 Tl 0.6416 0.8996 0.5412
5 Tl 0.8996 0.3584 0.2580
6 Ag 0.2982 0.4019 0.7000
7 Ag 0.4019 0.7018 0.1037
8 Ag 0.5981 0.2982 0.8963
9 Ag 0.7018 0.5981 0.3000

Most intense lines, 10° ≤ 2θ ≤ 90°, sorted by position:
two_theta, I (rel.)
26.59, 590
29.27, 461
32.53, 377
33.67, 453
37.62, 1000
45.21, 282

(6)
For KMgZn3, DFT lattice parameters and positions (PBE) gives the simulated powder diffractogram in this record (a wavelength of 1.5418 Å).
Intensities are scaled so that the largest is 1000.

Atomic structure:
Unit cell a=5.3161 b=5.3161 c=5.3161 alpha=90.00 beta=90.00 gamma=90.00
Sites, in units of the cell vectors:
1 K 0.0000 0.0000 0.0000
2 Mg 0.5000 0.5000 0.5000
3 Zn 0.0000 0.5000 0.5000
4 Zn 0.5000 0.0000 0.5000
5 Zn 0.5000 0.5000 0.0000

Most intense lines, 10° ≤ 2θ ≤ 90°, sorted by position:
two_theta, I (rel.)
29.09, 1000
33.72, 757
48.43, 522
57.50, 401
60.31, 172
80.86, 208

(7)
For Rb2PaSe5, DFT lattice parameters and positions (PBE) gives the simulated powder diffractogram in this record (a wavelength of 1.5418 Å).
Intensities are scaled so that the largest is 1000.

Atomic structure:
Unit cell a=6.8739 b=6.8739 c=5.6484 alpha=90.00 beta=90.00 gamma=90.00
Sites, in units of the cell vectors:
1 Rb 0.0000 0.5000 0.0000
2 Rb 0.5000 0.0000 0.0000
3 Pa 0.0000 0.0000 0.5000
4 Se 0.0000 0.0000 0.0000
5 Se 0.2811 0.2811 0.5000
6 Se 0.2811 0.7189 0.5000
7 Se 0.7189 0.2811 0.5000
8 Se 0.7189 0.7189 0.5000

Most intense lines, 10° ≤ 2θ ≤ 90°, sorted by position:
two_theta, I (rel.)
12.88, 1000
24.16, 897
29.05, 680
31.68, 660
36.99, 769
49.48, 666

(8)
For Na9Tl2Cd, DFT lattice parameters and positions (PBE) gives the simulated powder diffractogram in this record (a wavelength of 1.5418 Å).
Intensities are scaled so that the largest is 1000.

Atomic structure:
Unit cell a=6.2399 b=8.1458 c=8.7866 alpha=73.52 beta=76.22 gamma=68.73
Sites, in units of the cell vectors:
1 Na 0.0000 0.0000 0.0000
2 Na 0.0073 0.3439 0.2053
3 Na 0.1229 0.2882 0.6264
4 Na 0.4394 0.8303 0.6885
5 Na 0.4890 0.6667 0.1123
6 Na 0.5110 0.3333 0.8877
7 Na 0.5606 0.1697 0.3115
8 Na 0.8771 0.7118 0.3736
9 Na 0.9927 0.6561 0.7947
10 Tl 0.2226 0.9204 0.3662
11 Tl 0.7774 0.0796 0.6338
12 Cd 0.5000 0.5000 0.5000

Most intense lines, 10° ≤ 2θ ≤ 90°, sorted by position:
two_theta, I (rel.)
10.62, 1000
11.95, 282
16.25, 356
16.50, 589
31.30, 413
31.86, 299

(9)
For Pm12ZnNi6, DFT lattice parameters and positions (PBE) gives the simulated powder diffractogram in this record (a wavelength of 1.5418 Å).
Intensities are scaled so that the largest is 1000.

Atomic structure:
Unit cell a=8.5978 b=8.5978 c=8.5978 alpha=109.47 beta=109.47 gamma=109.47
Sites, in units of the cell vectors:
1 Pm 0.1183 0.3039 0.8143
2 Pm 0.1857 0.4896 0.3039
3 Pm 0.1857 0.8817 0.6961
4 Pm 0.3039 0.1857 0.4896
5 Pm 0.3039 0.8143 0.1183
6 Pm 0.4896 0.3039 0.1857
7 Pm 0.5104 0.6961 0.8143
8 Pm 0.6961 0.1857 0.8817
9 Pm 0.6961 0.8143 0.5104
10 Pm 0.8143 0.1183 0.3039
11 Pm 0.8143 0.5104 0.6961
12 Pm 0.8817 0.6961 0.1857
13 Zn 0.0000 0.0000 0.0000
14 Ni 0.1225 0.5000 0.6225
15 Ni 0.3775 0.8775 0.5000
16 Ni 0.5000 0.3775 0.8775
17 Ni 0.5000 0.6225 0.1225
18 Ni 0.6225 0.1225 0.5000
19 Ni 0.8775 0.5000 0.3775

Most intense lines, 10° ≤ 2θ ≤ 90°, sorted by position:
two_theta, I (rel.)
28.43, 403
31.21, 357
33.78, 1000
46.65, 197
53.85, 350
57.20, 325

(10)
For ErSc2RuO8, DFT lattice parameters and positions (PBE) gives the simulated powder diffractogram in this record (a wavelength of 1.5418 Å).
Intensities are scaled so that the largest is 1000.

Atomic structure:
Unit cell a=4.8526 b=6.4598 c=4.8636 alpha=90.00 beta=90.13 gamma=90.00
Sites, in units of the cell vectors:
1 Er 0.0000 0.0000 0.0000
2 Sc 0.5000 0.2431 0.5000
3 Sc 0.5000 0.7569 0.5000
4 Ru 0.0000 0.5000 0.0000
5 O 0.1943 0.2856 0.8082
6 O 0.1943 0.7144 0.8082
7 O 0.2778 0.5000 0.2798
8 O 0.3131 0.0000 0.3158
9 O 0.6869 0.0000 0.6842
10 O 0.7222 0.5000 0.7202
11 O 0.8057 0.2856 0.1918
12 O 0.8057 0.7144 0.1918

Most intense lines, 10° ≤ 2θ ≤ 90°, sorted by position:
two_theta, I (rel.)
18.26, 529
25.94, 1000
33.31, 744
37.01, 180
38.23, 225
50.62, 491

(11)
For K2I2Cl, DFT lattice parameters and positions (PBE) gives the simulated powder diffractogram in this record (a wavelength of 1.5418 Å).
Intensities are scaled so that the largest is 1000.

Atomic structure:
Unit cell a=26.0142 b=26.0142 c=26.0142 alpha=170.73 beta=170.73 gamma=13.13
Sites, in units of the cell vectors:
1 K 0.0835 0.3335 0.7500
2 K 0.3335 0.0835 0.2500
3 K 0.6665 0.9165 0.7500
4 K 0.9165 0.6665 0.2500
5 I 0.2074 0.4574 0.7500
6 I 0.4574 0.2074 0.2500
7 I 0.5426 0.7926 0.7500
8 I 0.7926 0.5426 0.2500
9 Cl 0.1250 0.8750 0.2500
10 Cl 0.8750 0.1250 0.7500

Most intense lines, 10° ≤ 2θ ≤ 90°, sorted by position:
two_theta, I (rel.)
13.71, 366
21.75, 695
26.27, 1000
31.84, 819
33.63, 506
43.83, 332

(12)
For RbNi, DFT lattice parameters and positions (PBE) gives the simulated powder diffractogram in this record (a wavelength of 1.5418 Å).
Intensities are scaled so that the largest is 1000.

Atomic structure:
Unit cell a=11.9781 b=11.9781 c=4.3382 alpha=90.00 beta=90.00 gamma=90.00
Sites, in units of the cell vectors:
1 Rb 0.0143 0.2486 0.0000
2 Rb 0.2486 0.9857 0.0000
3 Rb 0.3001 0.6541 0.5000
4 Rb 0.3459 0.3001 0.5000
5 Rb 0.6541 0.6999 0.5000
6 Rb 0.6999 0.3459 0.5000
7 Rb 0.7514 0.0143 0.0000
8 Rb 0.9857 0.7514 0.0000
9 Ni 0.0842 0.4572 0.5000
10 Ni 0.0966 0.5068 0.0000
11 Ni 0.4572 0.9158 0.5000
12 Ni 0.4932 0.0966 0.0000
13 Ni 0.5068 0.9034 0.0000
14 Ni 0.5428 0.0842 0.5000
15 Ni 0.9034 0.4932 0.0000
16 Ni 0.9158 0.5428 0.5000

Most intense lines, 10° ≤ 2θ ≤ 90°, sorted by position:
two_theta, I (rel.)
10.44, 1000
21.79, 274
23.49, 257
26.84, 454
29.48, 273
30.78, 309